Entry 1:
The following is a calculated X-ray diffraction stick pattern of MgVP2O7. It was derived from a DFT-relaxed cell (PBE+U, the Materials Project), using Cu Kα, 1.54184 Å.

Lattice parameters (Å, degrees): 5.385 6.597 7.478 80.27 83.91 72.62
Element x y z (fractional)
Mg 0.183 0.348 0.348
Mg 0.817 0.652 0.652
V 0.190 0.840 0.839
V 0.810 0.160 0.161
P 0.280 0.811 0.401
P 0.284 0.315 0.910
P 0.716 0.685 0.090
P 0.720 0.189 0.599
O 0.115 0.653 0.428
O 0.125 0.539 0.825
O 0.129 0.046 0.337
O 0.130 0.150 0.927
O 0.405 0.314 0.087
O 0.439 0.788 0.566
O 0.472 0.750 0.229
O 0.528 0.250 0.771
O 0.561 0.212 0.434
O 0.595 0.686 0.913
O 0.870 0.850 0.073
O 0.871 0.954 0.663
O 0.875 0.461 0.175
O 0.885 0.347 0.572

Peak list (10 most intense, 2θ from 15° to 90°, in order of rising 2θ)
2θ (°)	intensity
20.81	12
28.68	58
28.99	100
30.73	62
34.47	15
34.96	19
41.68	20
44.22	18
49.54	15
56.63	12

=====

Entry 2:
The following is a calculated X-ray diffraction stick pattern of SrNdCoRuO6. It was derived from a DFT-relaxed cell (PBE+U, the Materials Project), using Cu Kα, 1.54184 Å.

Lattice parameters (Å, degrees): 5.549 5.633 9.642 90.00 125.02 90.00
Element x y z (fractional)
Sr 0.000 0.213 0.000
Sr 0.000 0.787 0.500
Nd 0.520 0.304 0.501
Nd 0.520 0.696 0.001
Co 0.756 0.245 0.250
Co 0.756 0.755 0.750
Ru 0.255 0.248 0.750
Ru 0.255 0.752 0.250
O 0.101 0.238 0.505
O 0.101 0.762 0.005
O 0.436 0.273 0.996
O 0.436 0.727 0.496
O 0.500 0.043 0.296
O 0.500 0.957 0.796
O 0.573 0.469 0.788
O 0.573 0.531 0.288
O 0.918 0.046 0.706
O 0.918 0.954 0.206
O 0.999 0.472 0.210
O 0.999 0.528 0.710

Peak list (10 most intense, 2θ from 15° to 90°, in order of rising 2θ)
2θ (°)	intensity
19.56	7
31.77	22
32.04	100
32.27	25
45.94	40
56.77	13
56.96	10
57.35	17
57.44	11
76.19	9